No. 1
Starting from a GGA-PBE-relaxed structure, the powder diffractogram of ErThCo4 was calculated for copper Kα.

Peak list (10 most intense, 5 to 70 degrees two-theta, most intense first)
d 2.566, rel. 100
d 1.960, rel. 46
d 3.393, rel. 28
d 1.386, rel. 22
d 1.557, rel. 22
d 1.698, rel. 12
d 3.923, rel. 4
d 1.753, rel. 3
d 6.784, rel. 2
d 2.773, rel. 1

Cell and atoms:
```
data_ErThCo4
_chemical_formula_sum 'Er1 Th1 Co4'
_cell_length_a 3.9196
_cell_length_b 3.9232
_cell_length_c 6.7840
_cell_angle_alpha 90.00
_cell_angle_beta 90.00
_cell_angle_gamma 90.00
_space_group_name_H-M_alt 'P m m m'
_space_group_IT_number 47
loop_
_space_group_symop_operation_xyz
'x,y,z'
'-x,-y,-z'
'-x,-y,z'
'x,y,-z'
'x,-y,-z'
'-x,y,z'
'-x,y,-z'
'x,-y,z'
loop_
_atom_site_label
_atom_site_type_symbol
_atom_site_fract_x
_atom_site_fract_y
_atom_site_fract_z
_atom_site_occupancy
Er1 Er 0.0000 0.0000 0.0000 1
Th1 Th 0.5000 0.0000 0.5000 1
Co1 Co 0.0000 0.5000 0.3303 1
Co2 Co 0.5000 0.5000 0.1656 1
```

---

No. 2
Starting from a GGA-PBE-relaxed structure, the powder diffractogram of ErTi2Co9 was calculated for copper Kα.

Peak list (10 most intense, 5 to 70 degrees two-theta, most intense first)
d 2.041, rel. 100
d 2.067, rel. 27
d 2.397, rel. 26
d 2.388, rel. 22
d 2.599, rel. 22
d 1.947, rel. 20
d 7.787, rel. 19
d 3.384, rel. 14
d 1.897, rel. 11
d 1.383, rel. 10

Cell and atoms:
```
data_ErTi2Co9
_chemical_formula_sum 'Er3 Ti6 Co27'
_cell_length_a 4.7934
_cell_length_b 4.7934
_cell_length_c 23.3606
_cell_angle_alpha 90.00
_cell_angle_beta 90.00
_cell_angle_gamma 120.00
_space_group_name_H-M_alt 'R -3 m'
_space_group_IT_number 166
_space_group_name_Hall '-R 3 2"'
loop_
_atom_site_label
_atom_site_type_symbol
_atom_site_fract_x
_atom_site_fract_y
_atom_site_fract_z
_atom_site_occupancy
Er1 Er 0.0000 0.0000 0.0000 1
Ti1 Ti 0.0000 0.0000 0.1413 1
Co1 Co 0.0000 0.0000 0.3360 1
Co2 Co 0.0000 0.0000 0.5000 1
Co3 Co 0.0079 0.5039 0.9138 1
```

---

No. 3
Starting from a GGA-PBE-relaxed structure, the powder diffractogram of Er6TlCo2 was calculated for copper Kα.

Peak list (10 most intense, 5 to 70 degrees two-theta, most intense first)
d 2.769, rel. 100
d 2.572, rel. 36
d 2.595, rel. 23
d 2.965, rel. 22
d 1.534, rel. 20
d 2.542, rel. 19
d 1.628, rel. 18
d 2.340, rel. 17
d 2.475, rel. 15
d 1.558, rel. 14

Cell and atoms:
```
data_Er6TlCo2
_chemical_formula_sum 'Er24 Tl4 Co8'
_cell_length_a 9.3588
_cell_length_b 9.5401
_cell_length_c 9.8996
_cell_angle_alpha 90.00
_cell_angle_beta 90.00
_cell_angle_gamma 90.00
_space_group_name_H-M_alt 'I m m m'
_space_group_IT_number 71
_space_group_name_Hall '-I 2 2'
loop_
_atom_site_label
_atom_site_type_symbol
_atom_site_fract_x
_atom_site_fract_y
_atom_site_fract_z
_atom_site_occupancy
Er1 Er 0.0000 0.2133 0.2309 1
Er2 Er 0.1968 0.5000 0.1845 1
Er3 Er 0.2110 0.3127 0.5000 1
Tl1 Tl 0.0000 0.0000 0.0000 1
Tl2 Tl 0.0000 0.0000 0.5000 1
Co1 Co 0.0000 0.3793 0.0000 1
Co2 Co 0.0000 0.5000 0.3873 1
```

---

No. 4
Starting from a GGA-PBE-relaxed structure, the powder diffractogram of Er5Tl2Co was calculated for copper Kα.

Peak list (10 most intense, 5 to 70 degrees two-theta, most intense first)
d 2.907, rel. 100
d 2.768, rel. 92
d 2.667, rel. 57
d 2.280, rel. 47
d 2.728, rel. 45
d 1.750, rel. 27
d 2.593, rel. 25
d 1.742, rel. 21
d 3.271, rel. 19
d 2.449, rel. 17

Cell and atoms:
```
data_Er5Tl2Co
_chemical_formula_sum 'Er10 Tl4 Co2'
_cell_length_a 7.9802
_cell_length_b 11.6118
_cell_length_c 4.5603
_cell_angle_alpha 90.00
_cell_angle_beta 90.00
_cell_angle_gamma 90.00
_space_group_name_H-M_alt 'P b a m'
_space_group_IT_number 55
loop_
_space_group_symop_operation_xyz
'x,y,z'
'-x,-y,-z'
'-x,-y,z'
'x,y,-z'
'x+1/2,-y+1/2,-z'
'-x+1/2,y+1/2,z'
'-x+1/2,y+1/2,-z'
'x+1/2,-y+1/2,z'
loop_
_atom_site_label
_atom_site_type_symbol
_atom_site_fract_x
_atom_site_fract_y
_atom_site_fract_z
_atom_site_occupancy
Er1 Er 0.0000 0.0000 0.0000 1
Er2 Er 0.1416 0.3041 0.0000 1
Er3 Er 0.1803 0.5669 0.5000 1
Tl1 Tl 0.0667 0.8292 0.5000 1
Co1 Co 0.0000 0.5000 0.0000 1
```

---

No. 5
Starting from a GGA-PBE-relaxed structure, the powder diffractogram of Er2Tm6Co was calculated for copper Kα.

Peak list (10 most intense, 5 to 70 degrees two-theta, most intense first)
d 2.645, rel. 100
d 2.790, rel. 74
d 2.847, rel. 66
d 2.322, rel. 38
d 2.950, rel. 35
d 1.500, rel. 26
d 2.121, rel. 25
d 1.543, rel. 21
d 7.921, rel. 19
d 3.247, rel. 19

Cell and atoms:
```
data_Er2Tm6Co
_chemical_formula_sum 'Er4 Tm12 Co2'
_cell_length_a 8.9921
_cell_length_b 16.7363
_cell_length_c 3.5602
_cell_angle_alpha 90.00
_cell_angle_beta 90.00
_cell_angle_gamma 90.00
_space_group_name_H-M_alt 'C m m m'
_space_group_IT_number 65
_space_group_name_Hall '-C 2 2'
loop_
_atom_site_label
_atom_site_type_symbol
_atom_site_fract_x
_atom_site_fract_y
_atom_site_fract_z
_atom_site_occupancy
Er1 Er 0.0000 0.1701 0.0000 1
Tm1 Tm 0.1686 0.3348 0.5000 1
Tm2 Tm 0.2105 0.5000 0.0000 1
Co1 Co 0.0000 0.5000 0.5000 1
```

---

No. 6
Starting from a GGA-PBE-relaxed structure, the powder diffractogram of Er2Tm5Co4 was calculated for copper Kα.

Peak list (10 most intense, 5 to 70 degrees two-theta, most intense first)
d 2.714, rel. 100
d 2.485, rel. 60
d 3.102, rel. 56
d 3.067, rel. 51
d 2.859, rel. 49
d 1.673, rel. 28
d 2.221, rel. 26
d 3.181, rel. 25
d 2.237, rel. 25
d 1.579, rel. 24

Cell and atoms:
```
data_Er2Tm5Co4
_chemical_formula_sum 'Er4 Tm10 Co8'
_cell_length_a 12.6639
_cell_length_b 6.4417
_cell_length_c 7.8093
_cell_angle_alpha 90.00
_cell_angle_beta 127.28
_cell_angle_gamma 90.00
_space_group_name_H-M_alt 'C 1 2/m 1'
_space_group_IT_number 12
loop_
_space_group_symop_operation_xyz
'x,y,z'
'-x,-y,-z'
'-x,y,-z'
'x,-y,z'
'x+1/2,y+1/2,z'
'-x+1/2,-y+1/2,-z'
'-x+1/2,y+1/2,-z'
'x+1/2,-y+1/2,z'
loop_
_atom_site_label
_atom_site_type_symbol
_atom_site_fract_x
_atom_site_fract_y
_atom_site_fract_z
_atom_site_occupancy
Er1 Er 0.0372 0.0000 0.3214 1
Tm1 Tm 0.0000 0.5000 0.5000 1
Tm2 Tm 0.2014 0.2561 0.1719 1
Co1 Co 0.0007 0.5000 0.1439 1
Co2 Co 0.2034 0.5000 0.4806 1
```